Theoretical X-ray powder pattern of Mn2CuO5 for Cu Kα, from a crystal structure in Alexandria, relaxed with PBE+U.
Neutral-atom scattering factors, no anomalous dispersion.

Most intense lines, 5 to 70 degrees two-theta, low angle first:
4.521 Å, rel. 1000, (0 1 0); 4.182 Å, rel. 948, (0 1 1); 4.077 Å, rel. 574, (0 0 1); 3.588 Å, rel. 371, (1 1 1); 3.477 Å, rel. 592, (1 -1 0); 2.812 Å, rel. 390, (1 1 0); 2.694 Å, rel. 516, (1 -1 1); 2.599 Å, rel. 697, (-1 1 1); 2.589 Å, rel. 383, (1 1 2); 2.343 Å, rel. 318, (1 0 2)

```
data_Mn2CuO5
_space_group_name_H-M_alt 'P 1'
_space_group_IT_number 1
_cell_length_a 4.8736
_cell_length_b 5.1513
_cell_length_c 5.2200
_cell_angle_alpha 63.85
_cell_angle_beta 62.80
_cell_angle_gamma 88.03
loop_
_space_group_symop_operation_xyz
'x,y,z'
loop_
_atom_site_label
_atom_site_type_symbol
_atom_site_fract_x
_atom_site_fract_y
_atom_site_fract_z
Mn1 Mn 0.0000 0.0000 0.0000
Mn2 Mn 0.4146 0.4168 0.1272
Cu1 Cu 0.6797 0.0140 0.6492
O1 O 0.0423 0.2570 0.5279
O2 O 0.2959 0.7530 0.8629
O3 O 0.3459 0.2094 0.9467
O4 O 0.6955 0.1725 0.2443
O5 O 0.6979 0.7463 0.0207
```